No. 1
Diffraction record for Cs3Pt. The PXRD pattern is theoretical, not measured: it uses a DFT-relaxed cell (PBE, the Materials Project) and a wavelength of 1.5418 Å.
Kinematic intensities with the Lorentz-polarization factor, no thermal factor.

Cell and atoms:
```
data_Cs3Pt
_space_group_name_H-M_alt 'P m -3 m'
_space_group_IT_number 221
_space_group_name_Hall '-P 4 2 3'
_cell_length_a 5.778
_cell_length_b 5.778
_cell_length_c 5.778
_cell_angle_alpha 90.00
_cell_angle_beta 90.00
_cell_angle_gamma 90.00
loop_
_atom_site_label
_atom_site_type_symbol
_atom_site_fract_x
_atom_site_fract_y
_atom_site_fract_z
Cs1 Cs 0.000 0.000 0.500
Pt1 Pt 0.500 0.500 0.500
```

Most intense lines, 10 to 90 degrees two-theta, most intense first:
d (Å)  Position (°2θ)  I/Imax  (hkl)
3.336  26.72  100.0  1 1 1
2.889  30.96  51.3  2 0 0
1.742  52.53  46.0  3 1 1
2.043  44.35  37.8  2 2 0
1.325  71.13  18.8  3 3 1
1.292  73.27  17.3  4 2 0
1.112  87.79  14.9  5 1 1
1.668  55.06  13.3  2 2 2
1.179  81.64  13.1  4 2 2
1.444  64.52  6.2  4 0 0



No. 2
Diffraction record for Cs2Pt3Se4. The PXRD pattern is theoretical, not measured: it uses a DFT-relaxed cell (PBE, the Materials Project) and a wavelength of 1.5418 Å.
Kinematic intensities with the Lorentz-polarization factor, no thermal factor.

Cell and atoms:
```
data_Cs2Pt3Se4
_space_group_name_H-M_alt 'F m m m'
_space_group_IT_number 69
_space_group_name_Hall '-F 2 2'
_cell_length_a 6.784
_cell_length_b 11.544
_cell_length_c 14.533
_cell_angle_alpha 90.00
_cell_angle_beta 90.00
_cell_angle_gamma 90.00
loop_
_atom_site_label
_atom_site_type_symbol
_atom_site_fract_x
_atom_site_fract_y
_atom_site_fract_z
Cs1 Cs 0.000 0.000 0.145
Pt1 Pt 0.000 0.000 0.500
Pt2 Pt 0.250 0.250 0.000
Se1 Se 0.000 0.168 0.392
```

Most intense lines, 10 to 90 degrees two-theta, most intense first:
d (Å)  Position (°2θ)  I/Imax  (hkl)
7.267  12.18  100.0  0 0 2
2.754  32.51  39.3  1 3 3
3.731  23.85  34.0  1 1 3
2.924  30.57  31.5  2 2 0
1.865  48.82  27.9  2 2 6
2.713  33.02  25.9  2 2 2
2.479  36.23  22.5  2 0 4
2.195  41.13  20.2  1 3 5
1.674  54.86  18.0  2 6 0
4.520  19.64  17.7  0 2 2



No. 3
Diffraction record for Cs2UPt3Se6. The PXRD pattern is theoretical, not measured: it uses a DFT-relaxed cell (PBE, the Materials Project) and a wavelength of 1.5418 Å.
Kinematic intensities with the Lorentz-polarization factor, no thermal factor.

Cell and atoms:
```
data_Cs2UPt3Se6
_space_group_name_H-M_alt 'F m m m'
_space_group_IT_number 69
_space_group_name_Hall '-F 2 2'
_cell_length_a 10.223
_cell_length_b 16.157
_cell_length_c 17.812
_cell_angle_alpha 90.00
_cell_angle_beta 90.00
_cell_angle_gamma 90.00
loop_
_atom_site_label
_atom_site_type_symbol
_atom_site_fract_x
_atom_site_fract_y
_atom_site_fract_z
Cs1 Cs 0.000 0.187 0.000
Cs2 Cs 0.250 0.250 0.250
U1 U 0.000 0.000 0.332
Pt1 Pt 0.166 0.000 0.161
Pt2 Pt 0.168 0.000 0.500
Se1 Se 0.000 0.105 0.201
Se2 Se 0.190 0.106 0.400
```

Most intense lines, 10 to 90 degrees two-theta, most intense first:
d (Å)  Position (°2θ)  I/Imax  (hkl)
8.079  10.95  100.0  0 2 0
2.181  41.40  44.5  3 5 3
3.891  22.85  40.5  0 2 4
2.907  30.76  35.4  3 1 3
2.591  34.62  33.4  3 3 3
1.702  53.86  24.0  6 0 0
2.786  32.12  21.2  0 2 6
1.995  45.48  17.7  0 6 6
2.392  37.60  16.5  0 4 6
1.819  50.15  13.0  3 7 3



Copy entry 3 word for word.
Diffraction record for Cs2UPt3Se6. The PXRD pattern is theoretical, not measured: it uses a DFT-relaxed cell (PBE, the Materials Project) and a wavelength of 1.5418 Å.
Kinematic intensities with the Lorentz-polarization factor, no thermal factor.

Cell and atoms:
```
data_Cs2UPt3Se6
_space_group_name_H-M_alt 'F m m m'
_space_group_IT_number 69
_space_group_name_Hall '-F 2 2'
_cell_length_a 10.223
_cell_length_b 16.157
_cell_length_c 17.812
_cell_angle_alpha 90.00
_cell_angle_beta 90.00
_cell_angle_gamma 90.00
loop_
_atom_site_label
_atom_site_type_symbol
_atom_site_fract_x
_atom_site_fract_y
_atom_site_fract_z
Cs1 Cs 0.000 0.187 0.000
Cs2 Cs 0.250 0.250 0.250
U1 U 0.000 0.000 0.332
Pt1 Pt 0.166 0.000 0.161
Pt2 Pt 0.168 0.000 0.500
Se1 Se 0.000 0.105 0.201
Se2 Se 0.190 0.106 0.400
```

Most intense lines, 10 to 90 degrees two-theta, most intense first:
d (Å)  Position (°2θ)  I/Imax  (hkl)
8.079  10.95  100.0  0 2 0
2.181  41.40  44.5  3 5 3
3.891  22.85  40.5  0 2 4
2.907  30.76  35.4  3 1 3
2.591  34.62  33.4  3 3 3
1.702  53.86  24.0  6 0 0
2.786  32.12  21.2  0 2 6
1.995  45.48  17.7  0 6 6
2.392  37.60  16.5  0 4 6
1.819  50.15  13.0  3 7 3